(1)
Computed powder X-ray diffraction pattern of Nd3Si8Pd3 for Cu Kα, from a GGA-PBE-relaxed structure.

Cell: 15.2071 4.2297 9.0455 Å, 90.00 118.75 90.00°
Space group C2/m (No. 12)
Asymmetric unit:
Nd 0.0000 0.0000 0.0000 [2 per cell]
Nd 0.1983 0.5000 0.6460 [4 per cell]
Si 0.0248 0.5000 0.7323 [4 per cell]
Si 0.1099 0.0000 0.3732 [4 per cell]
Si 0.1314 0.5000 0.2563 [4 per cell]
Si 0.1344 0.0000 0.8404 [4 per cell]
Pd 0.0000 0.0000 0.5000 [2 per cell]
Pd 0.1803 0.5000 0.0319 [4 per cell]

Largest 12 diffraction maxima, by angle, 10 to 80 degrees two-theta:
| index | 2θ/deg | d_spacing | I (rel.) |
| --- | --- | --- | --- |
| 2 0 -2 | 19.79 | 4.485 | 20 |
| 3 1 0 | 29.15 | 3.064 | 100 |
| 3 1 -2 | 30.38 | 2.942 | 56 |
| 0 0 3 | 33.90 | 2.645 | 24 |
| 1 1 2 | 33.94 | 2.642 | 77 |
| 6 0 -2 | 35.57 | 2.524 | 42 |
| 3 1 -3 | 36.80 | 2.442 | 32 |
| 6 0 0 | 40.63 | 2.220 | 35 |
| 0 2 0 | 42.76 | 2.115 | 42 |
| 7 1 0 | 52.70 | 1.737 | 20 |
| 6 2 -2 | 56.79 | 1.621 | 21 |
| 9 1 -2 | 59.27 | 1.559 | 19 |



(2)
Computed powder X-ray diffraction pattern of Nd2SiPd for Cu Kα, from a GGA-PBE-relaxed structure.

Cell: 5.9535 4.3492 8.2669 Å, 90.00 110.92 90.00°
Space group P2_1/m (No. 11)
Asymmetric unit:
Nd 0.2006 0.2500 0.4187 [2 per cell]
Nd 0.2871 0.7500 0.0641 [2 per cell]
Si 0.3679 0.7500 0.7078 [2 per cell]
Pd 0.1611 0.2500 0.7830 [2 per cell]

Largest 12 diffraction maxima, by angle, 10 to 80 degrees two-theta:
| index | 2θ/deg | d_spacing | I (rel.) |
| --- | --- | --- | --- |
| 1 1 -1 | 26.03 | 3.423 | 73 |
| 1 1 1 | 30.80 | 2.903 | 93 |
| 0 1 2 | 30.97 | 2.887 | 100 |
| 2 0 0 | 32.23 | 2.778 | 91 |
| 1 0 -3 | 32.71 | 2.738 | 47 |
| 2 1 0 | 38.45 | 2.341 | 90 |
| 1 1 -3 | 38.85 | 2.318 | 54 |
| 0 2 0 | 41.53 | 2.175 | 50 |
| 1 0 3 | 43.71 | 2.071 | 42 |
| 2 2 0 | 53.52 | 1.712 | 43 |
| 3 1 -3 | 53.86 | 1.702 | 28 |
| 1 2 3 | 61.87 | 1.500 | 30 |



(3)
Computed powder X-ray diffraction pattern of Nd3Si2Pd5 for Cu Kα, from a GGA-PBE-relaxed structure.

Cell: 11.5595 12.1873 5.9558 Å, 90.00 90.00 90.00°
Space group Ibam (No. 72)
Asymmetric unit:
Nd 0.0000 0.0000 0.2500 [4 per cell]
Nd 0.2108 0.3864 0.0000 [8 per cell]
Si 0.1519 0.1467 0.0000 [8 per cell]
Pd 0.0000 0.2381 0.2500 [8 per cell]
Pd 0.0000 0.5000 0.2500 [4 per cell]
Pd 0.1483 0.3652 0.5000 [8 per cell]

Largest 12 diffraction maxima, by angle, 10 to 80 degrees two-theta:
| index | 2θ/deg | d_spacing | I (rel.) |
| --- | --- | --- | --- |
| 3 1 0 | 24.23 | 3.674 | 31 |
| 3 2 1 | 31.30 | 2.857 | 32 |
| 2 4 0 | 33.24 | 2.695 | 93 |
| 2 0 2 | 33.87 | 2.647 | 100 |
| 0 4 2 | 42.45 | 2.130 | 76 |
| 4 4 0 | 43.14 | 2.097 | 20 |
| 4 0 2 | 43.64 | 2.074 | 20 |
| 5 2 1 | 44.59 | 2.032 | 18 |
| 3 5 2 | 54.12 | 1.694 | 18 |
| 6 4 2 | 65.31 | 1.429 | 17 |
| 2 8 2 | 71.45 | 1.320 | 16 |
| 2 4 4 | 72.53 | 1.303 | 19 |



(4)
Computed powder X-ray diffraction pattern of Nd3Si2Pd6 for Cu Kα, from a GGA-PBE-relaxed structure.

Cell: 9.5041 9.5041 9.5041 Å, 90.00 90.00 90.00°
Space group Im-3m (No. 229)
Asymmetric unit:
Nd 0.0000 0.0000 0.2863 [12 per cell]
Si 0.2500 0.2500 0.2500 [8 per cell]
Pd 0.0000 0.3236 0.3236 [24 per cell]

Largest 12 diffraction maxima, by angle, 10 to 80 degrees two-theta:
| index | 2θ/deg | d_spacing | I (rel.) |
| --- | --- | --- | --- |
| 1 1 0 | 13.17 | 6.720 | 9 |
| 2 2 0 | 26.53 | 3.360 | 18 |
| 3 1 0 | 29.73 | 3.005 | 24 |
| 3 2 1 | 35.34 | 2.540 | 34 |
| 4 0 0 | 37.87 | 2.376 | 18 |
| 3 3 0 | 40.26 | 2.240 | 100 |
| 4 3 3 | 56.46 | 1.630 | 10 |
| 6 0 0 | 58.25 | 1.584 | 12 |
| 5 3 2 | 60.00 | 1.542 | 20 |
| 6 2 2 | 65.10 | 1.433 | 13 |
| 6 3 3 | 73.18 | 1.293 | 21 |
| 7 3 0 | 76.30 | 1.248 | 10 |



(5)
Computed powder X-ray diffraction pattern of Nd4SiPd for Cu Kα, from a GGA-PBE-relaxed structure.

Cell: 5.3744 21.2863 6.3118 Å, 90.00 90.00 90.00°
Space group Cmc2_1 (No. 36)
Asymmetric unit:
Nd 0.0000 0.0573 0.0000 [4 per cell]
Nd 0.0000 0.1973 0.2595 [4 per cell]
Nd 0.0000 0.2123 0.7756 [4 per cell]
Nd 0.0000 0.3882 0.0335 [4 per cell]
Si 0.0000 0.3394 0.5119 [4 per cell]
Pd 0.0000 0.0769 0.5069 [4 per cell]

Largest 12 diffraction maxima, by angle, 10 to 80 degrees two-theta:
| index | 2θ/deg | d_spacing | I (rel.) |
| --- | --- | --- | --- |
| 1 1 0 | 17.02 | 5.211 | 68 |
| 0 6 0 | 25.12 | 3.546 | 42 |
| 1 5 0 | 26.71 | 3.337 | 56 |
| 0 6 1 | 28.87 | 3.093 | 28 |
| 0 2 2 | 29.52 | 3.026 | 91 |
| 0 4 2 | 33.00 | 2.714 | 33 |
| 2 0 0 | 33.34 | 2.687 | 96 |
| 1 7 0 | 33.87 | 2.647 | 98 |
| 1 3 2 | 35.32 | 2.541 | 100 |
| 1 5 2 | 39.29 | 2.293 | 35 |
| 2 2 2 | 45.13 | 2.009 | 57 |
| 1 9 2 | 51.17 | 1.785 | 47 |



(6)
Computed powder X-ray diffraction pattern of NdSi2Pd6 for Cu Kα, from a GGA-PBE-relaxed structure.

Cell: 5.6122 5.6122 6.3234 Å, 90.00 90.00 120.00°
Space group P6/mmm (No. 191)
Asymmetric unit:
Nd 0.0000 0.0000 0.0000 [1 per cell]
Si 0.3333 0.6667 0.5000 [2 per cell]
Pd 0.0000 0.5000 0.2205 [6 per cell]

Largest 12 diffraction maxima, by angle, 10 to 80 degrees two-theta:
| index | 2θ/deg | d_spacing | I (rel.) |
| --- | --- | --- | --- |
| 0 0 1 | 14.01 | 6.323 | 25 |
| 1 0 1 | 23.08 | 3.854 | 21 |
| 0 0 2 | 28.23 | 3.162 | 19 |
| 1 0 2 | 33.82 | 2.650 | 44 |
| 2 0 0 | 36.99 | 2.430 | 100 |
| 2 0 1 | 39.74 | 2.268 | 24 |
| 1 1 2 | 43.10 | 2.099 | 36 |
| 1 0 3 | 46.99 | 1.934 | 14 |
| 2 0 2 | 47.17 | 1.927 | 40 |
| 2 1 2 | 58.07 | 1.588 | 18 |
| 2 2 0 | 66.66 | 1.403 | 21 |
| 2 0 4 | 71.15 | 1.325 | 17 |



(7)
Computed powder X-ray diffraction pattern of Nd3Si3Pd for Cu Kα, from a GGA-PBE-relaxed structure.

Cell: 4.0704 4.3308 18.4461 Å, 90.00 90.00 90.00°
Space group Imm2 (No. 44)
Asymmetric unit:
Nd 0.0000 0.0000 0.0000 [2 per cell]
Nd 0.0000 0.0000 0.3689 [2 per cell]
Nd 0.0000 0.5000 0.6871 [2 per cell]
Si 0.0000 0.0000 0.5421 [2 per cell]
Si 0.0000 0.0000 0.8263 [2 per cell]
Si 0.0000 0.5000 0.2487 [2 per cell]
Pd 0.0000 0.5000 0.1198 [2 per cell]

Largest 12 diffraction maxima, by angle, 10 to 80 degrees two-theta:
| index | 2θ/deg | d_spacing | I (rel.) |
| --- | --- | --- | --- |
| 1 0 3 | 26.26 | 3.394 | 43 |
| 0 0 6 | 29.04 | 3.074 | 14 |
| 1 1 2 | 31.69 | 2.824 | 100 |
| 0 1 5 | 31.87 | 2.808 | 56 |
| 1 1 4 | 36.00 | 2.495 | 17 |
| 1 0 7 | 40.79 | 2.212 | 20 |
| 0 2 0 | 41.71 | 2.165 | 23 |
| 2 0 0 | 44.52 | 2.035 | 19 |
| 1 2 3 | 49.96 | 1.826 | 15 |
| 2 1 5 | 55.78 | 1.648 | 23 |
| 2 2 0 | 62.64 | 1.483 | 14 |
| 0 3 5 | 69.92 | 1.345 | 16 |



(8)
Computed powder X-ray diffraction pattern of Nd3Si6Pd20 for Cu Kα, from a GGA-PBE-relaxed structure.

Cell: 12.4054 12.4054 12.4054 Å, 90.00 90.00 90.00°
Space group Fm-3m (No. 225)
Asymmetric unit:
Nd 0.0000 0.0000 0.0000 [4 per cell]
Nd 0.2500 0.2500 0.2500 [8 per cell]
Si 0.0000 0.0000 0.2672 [24 per cell]
Pd 0.0000 0.1734 0.1734 [48 per cell]
Pd 0.1148 0.1148 0.3852 [32 per cell]

Largest 12 diffraction maxima, by angle, 10 to 80 degrees two-theta:
| index | 2θ/deg | d_spacing | I (rel.) |
| --- | --- | --- | --- |
| 4 2 0 | 32.27 | 2.774 | 23 |
| 4 2 2 | 35.45 | 2.532 | 32 |
| 3 3 3 | 37.68 | 2.387 | 100 |
| 4 4 0 | 41.16 | 2.193 | 31 |
| 5 3 1 | 43.14 | 2.097 | 24 |
| 6 0 0 | 43.78 | 2.068 | 9 |
| 6 2 2 | 48.69 | 1.870 | 12 |
| 6 4 4 | 61.65 | 1.504 | 8 |
| 6 6 0 | 63.65 | 1.462 | 29 |
| 5 5 5 | 65.12 | 1.432 | 14 |
| 8 4 4 | 75.02 | 1.266 | 19 |
| 9 3 3 | 76.39 | 1.247 | 9 |